(1)
# GdDyCl2O2
Simulated PXRD pattern, copper Kα. Input: the GGA-PBE geometry in OQMD.

Crystal structure
```
GdDyCl2O2
1.0
3.898 0.000 0.000
0.000 3.898 0.000
0.000 0.000 6.736
Gd Dy Cl O
1 1 2 2
Direct
0.000 0.000 0.000
0.500 0.500 0.339
0.000 0.000 0.544
0.500 0.500 0.800
0.000 0.500 0.173
0.500 0.000 0.173
```

Top 10 peaks for 2θ = 15–90°, low angle first:
2θ/deg, Rel. int.
26.4, 95
32.5, 65
35.2, 100
42.4, 20
46.6, 34
52.6, 23
54.4, 30
59.8, 55
68.0, 11
79.1, 17

(2)
# Lu2Ni3W4C3
Simulated PXRD pattern, copper Kα. Input: the GGA-PBE geometry in OQMD.

Crystal structure
```
Lu2Ni3W4C3
1.0
4.627 -2.669 0.000
4.627 2.669 0.000
-3.213 0.000 13.178
Lu Ni W C
4 6 8 6
Direct
0.044 0.880 0.626
0.120 0.956 0.874
0.880 0.044 0.126
0.956 0.120 0.374
0.086 0.406 0.752
0.406 0.086 0.252
0.421 0.579 0.250
0.579 0.421 0.750
0.594 0.914 0.748
0.914 0.594 0.248
0.194 0.351 0.085
0.292 0.486 0.415
0.351 0.194 0.585
0.486 0.292 0.915
0.514 0.708 0.085
0.649 0.806 0.415
0.708 0.514 0.585
0.806 0.649 0.915
0.000 0.500 0.500
0.168 0.663 0.000
0.337 0.832 0.500
0.500 0.000 0.000
0.663 0.168 0.500
0.832 0.337 0.000
```

Top 10 peaks for 2θ = 15–90°, low angle first:
2θ/deg, Rel. int.
27.1, 40
33.6, 65
34.2, 80
34.3, 35
39.3, 99
39.5, 100
39.6, 90
41.1, 42
43.5, 31
60.0, 56

(3)
# TbGdBi2S2
Simulated PXRD pattern, copper Kα. Input: the GGA-PBE geometry in OQMD.

Crystal structure
```
TbGdBi2S2
1.0
4.220 0.000 0.000
0.000 4.220 0.000
0.000 0.000 8.755
Tb Gd Bi S
1 1 2 2
Direct
0.000 0.000 0.000
0.500 0.500 0.368
0.000 0.500 0.684
0.500 0.000 0.684
0.000 0.000 0.309
0.500 0.500 0.056
```

Top 10 peaks for 2θ = 15–90°, low angle first:
2θ/deg, Rel. int.
23.4, 35
30.6, 46
31.7, 100
36.4, 79
42.9, 40
51.8, 19
53.6, 38
61.4, 19
71.5, 20
74.3, 21